(1)
Calculated powder diffraction line list
Compound: Al2Sb2O7
Radiation: a wavelength of 1.5418 Å
Structure: a crystal structure in the Materials Project, relaxed with PBE
No peak broadening, texture or thermal motion is included.

Top 10 peaks for 5 to 70 degrees two-theta, low angle first:
| 2theta | d [Å] | I/Imax |
| --- | --- | --- |
| 15.45 | 5.734 | 43 |
| 29.84 | 2.995 | 44 |
| 31.20 | 2.867 | 100 |
| 36.18 | 2.483 | 19 |
| 39.55 | 2.279 | 10 |
| 47.57 | 1.911 | 14 |
| 52.09 | 1.756 | 62 |
| 54.67 | 1.679 | 10 |
| 61.98 | 1.497 | 41 |
| 65.06 | 1.434 | 6 |

Cell and atoms:
Unit cell a=9.932 b=9.932 c=9.932 alpha=90.00 beta=90.00 gamma=90.00
Space group Fd-3m (No. 227, origin choice 2)
Unique sites:
Al1 0.000 0.000 0.000 (multiplicity 16)
Sb1 0.000 0.000 0.500 (multiplicity 16)
O1 0.116 0.375 0.875 (multiplicity 48)
O2 0.125 0.125 0.125 (multiplicity 8)



(2)
Calculated powder diffraction line list
Compound: Al4Si2Sn13Sb2O28
Radiation: a wavelength of 1.5418 Å
Structure: a crystal structure in the Materials Project, relaxed with PBE
No peak broadening, texture or thermal motion is included.

Top 10 peaks for 5 to 70 degrees two-theta, low angle first:
| 2theta | d [Å] | I/Imax |
| --- | --- | --- |
| 8.94 | 9.892 | 21 |
| 27.04 | 3.297 | 83 |
| 27.27 | 3.271 | 37 |
| 29.79 | 2.999 | 100 |
| 30.91 | 2.893 | 68 |
| 32.65 | 2.743 | 39 |
| 36.26 | 2.478 | 25 |
| 41.16 | 2.193 | 37 |
| 50.98 | 1.791 | 24 |
| 54.82 | 1.675 | 26 |

Cell and atoms:
```
data_Al4Si2Sn13Sb2O28
_chemical_formula_sum 'Al8 Si4 Sn26 Sb4 O56'
_symmetry_space_group_name_H-M 'C 1 2/m 1'
_symmetry_Int_Tables_number 12
_cell_length_a 5.501
_cell_length_b 28.800
_cell_length_c 10.093
_cell_angle_alpha 90.00
_cell_angle_beta 101.46
_cell_angle_gamma 90.00
loop_
_symmetry_equiv_pos_as_xyz
'x,y,z'
'-x,-y,-z'
'-x,y,-z'
'x,-y,z'
'x+1/2,y+1/2,z'
'-x+1/2,-y+1/2,-z'
'-x+1/2,y+1/2,-z'
'x+1/2,-y+1/2,z'
loop_
_atom_site_label
_atom_site_type_symbol
_atom_site_fract_x
_atom_site_fract_y
_atom_site_fract_z
Al1 Al 0.232 0.217 0.284
Si1 Si 0.244 0.500 0.284
Sn1 Sn 0.000 0.000 0.000
Sn2 Sn 0.000 0.296 0.000
Sn3 Sn 0.000 0.426 0.000
Sn4 Sn 0.239 0.429 0.661
Sn5 Sn 0.250 0.161 0.624
Sb1 Sb 0.000 0.139 0.000
O1 O 0.061 0.000 0.314
O2 O 0.061 0.269 0.307
O3 O 0.131 0.453 0.341
O4 O 0.135 0.179 0.401
O5 O 0.161 0.084 0.119
O6 O 0.165 0.500 0.118
O7 O 0.190 0.188 0.126
O8 O 0.226 0.354 0.102
```



(3)
Calculated powder diffraction line list
Compound: Ti13Al4Si2Sb2O28
Radiation: a wavelength of 1.5418 Å
Structure: a crystal structure in the Materials Project, relaxed with PBE
No peak broadening, texture or thermal motion is included.

Top 10 peaks for 5 to 70 degrees two-theta, low angle first:
| 2theta | d [Å] | I/Imax |
| --- | --- | --- |
| 20.95 | 4.241 | 53 |
| 30.89 | 2.894 | 95 |
| 31.65 | 2.827 | 100 |
| 32.60 | 2.746 | 68 |
| 33.74 | 2.657 | 98 |
| 35.68 | 2.516 | 87 |
| 47.20 | 1.926 | 71 |
| 53.59 | 1.710 | 33 |
| 56.67 | 1.624 | 63 |
| 60.34 | 1.534 | 55 |

Cell and atoms:
```
data_Ti13Al4Si2Sb2O28
_chemical_formula_sum 'Ti26 Al8 Si4 Sb4 O56'
_symmetry_space_group_name_H-M 'C 1 2/m 1'
_symmetry_Int_Tables_number 12
_cell_length_a 5.538
_cell_length_b 23.940
_cell_length_c 8.646
_cell_angle_alpha 90.00
_cell_angle_beta 101.18
_cell_angle_gamma 90.00
loop_
_symmetry_equiv_pos_as_xyz
'x,y,z'
'-x,-y,-z'
'-x,y,-z'
'x,-y,z'
'x+1/2,y+1/2,z'
'-x+1/2,-y+1/2,-z'
'-x+1/2,y+1/2,-z'
'x+1/2,-y+1/2,z'
loop_
_atom_site_label
_atom_site_type_symbol
_atom_site_fract_x
_atom_site_fract_y
_atom_site_fract_z
Ti1 Ti 0.000 0.000 0.000
Ti2 Ti 0.000 0.287 0.000
Ti3 Ti 0.000 0.428 0.000
Ti4 Ti 0.225 0.136 0.623
Ti5 Ti 0.240 0.421 0.625
Al1 Al 0.204 0.280 0.658
Si1 Si 0.222 0.000 0.680
Sb1 Sb 0.000 0.138 0.000
O1 O 0.079 0.000 0.361
O2 O 0.127 0.280 0.386
O3 O 0.131 0.158 0.372
O4 O 0.139 0.445 0.382
O5 O 0.168 0.361 0.129
O6 O 0.195 0.500 0.125
O7 O 0.207 0.071 0.123
O8 O 0.239 0.225 0.127
```